The following is a computed powder diffraction line list of MgMnSbO4. It was derived from a crystal structure in the Materials Project, relaxed with PBE+U, using λ = 1.5418 Å (Cu Kα).

Cell and atoms:
Lattice parameters (Å, degrees): 4.145 4.365 9.868 90.00 90.00 90.00
Sites, in units of the cell vectors:
Mg  0.000  0.000  0.000
Mg  0.500  0.500  0.500
Mn  0.000  0.000  0.455
Mn  0.500  0.500  0.955
Sb  0.000  0.500  0.239
Sb  0.500  0.000  0.739
O  0.000  0.000  0.228
O  0.000  0.000  0.775
O  0.000  0.500  0.022
O  0.000  0.500  0.466
O  0.500  0.000  0.522
O  0.500  0.000  0.966
O  0.500  0.500  0.275
O  0.500  0.500  0.728

Peak list (6 most intense, 10 to 90 degrees two-theta, sorted by position)
- 22.27°, d = 3.992 Å, rel. 72
- 23.27°, d = 3.822 Å, rel. 100
- 34.13°, d = 2.627 Å, rel. 37
- 34.95°, d = 2.567 Å, rel. 64
- 36.42°, d = 2.467 Å, rel. 42
- 41.37°, d = 2.182 Å, rel. 37

=====

The following is a computed powder diffraction line list of LiCoBO3. It was derived from a crystal structure in the Materials Project, relaxed with PBE+U, using λ = 1.5418 Å (Cu Kα).

Cell and atoms:
Lattice parameters (Å, degrees): 3.089 8.152 14.141 90.00 89.92 89.95
Sites, in units of the cell vectors:
Li  0.000  0.000  0.000
Li  0.000  0.030  0.293
Li  0.000  0.453  0.132
Li  0.000  0.499  0.501
Li  0.000  0.531  0.792
Li  0.000  0.952  0.631
Co  0.497  0.336  0.955
Co  0.498  0.832  0.454
Co  0.499  0.353  0.322
Co  0.500  0.852  0.821
Co  0.501  0.294  0.650
Co  0.501  0.794  0.147
B  0.000  0.160  0.808
B  0.000  0.661  0.975
B  0.001  0.161  0.475
B  0.500  0.161  0.141
B  0.500  0.662  0.641
B  0.999  0.661  0.308
O  0.000  0.005  0.768
O  0.000  0.179  0.906
O  0.000  0.299  0.417
O  0.000  0.299  0.750
O  0.000  0.505  0.268
O  0.000  0.799  0.917
O  0.000  0.800  0.250
O  0.001  0.506  0.934
O  0.002  0.006  0.434
O  0.499  0.017  0.088
O  0.499  0.519  0.587
O  0.500  0.153  0.239
O  0.500  0.652  0.739
O  0.501  0.312  0.096
O  0.501  0.814  0.597
O  0.998  0.679  0.406
O  0.999  0.178  0.572
O  0.999  0.677  0.072

Peak list (6 most intense, 10 to 90 degrees two-theta, sorted by position)
- 21.79°, d = 4.079 Å, rel. 100
- 33.56°, d = 2.670 Å, rel. 16
- 36.48°, d = 2.463 Å, rel. 72
- 38.22°, d = 2.355 Å, rel. 28
- 48.60°, d = 1.873 Å, rel. 20
- 53.85°, d = 1.702 Å, rel. 18

=====

The following is a computed powder diffraction line list of Co2OF3. It was derived from a crystal structure in the Materials Project, relaxed with PBE+U, using λ = 1.5418 Å (Cu Kα).

Cell and atoms:
Lattice parameters (Å, degrees): 9.525 4.695 4.695 92.75 90.00 90.00
Sites, in units of the cell vectors:
Co  0.000  0.000  0.000
Co  0.165  0.533  0.533
Co  0.331  0.063  0.063
Co  0.500  0.522  0.522
Co  0.669  0.063  0.063
Co  0.835  0.533  0.533
O  0.000  0.725  0.725
O  0.331  0.340  0.340
O  0.669  0.340  0.340
F  0.000  0.312  0.312
F  0.166  0.225  0.838
F  0.166  0.838  0.225
F  0.336  0.751  0.751
F  0.500  0.238  0.846
F  0.500  0.846  0.238
F  0.664  0.751  0.751
F  0.834  0.225  0.838
F  0.834  0.838  0.225

Peak list (6 most intense, 10 to 90 degrees two-theta, sorted by position)
- 26.22°, d = 3.398 Å, rel. 87
- 27.54°, d = 3.239 Å, rel. 74
- 34.10°, d = 2.629 Å, rel. 100
- 51.52°, d = 1.774 Å, rel. 62
- 53.02°, d = 1.727 Å, rel. 41
- 66.69°, d = 1.402 Å, rel. 33

=====

The following is a computed powder diffraction line list of MgTi2NiO6. It was derived from a crystal structure in the Materials Project, relaxed with PBE+U, using λ = 1.5418 Å (Cu Kα).

Cell and atoms:
Lattice parameters (Å, degrees): 5.516 5.516 5.516 54.92 54.92 54.92
Sites, in units of the cell vectors:
Mg  0.000  0.000  0.000
Ti  0.210  0.210  0.210
Ti  0.497  0.497  0.497
Ni  0.704  0.704  0.704
O  0.125  0.404  0.792
O  0.305  0.916  0.580
O  0.404  0.792  0.125
O  0.580  0.305  0.916
O  0.792  0.125  0.404
O  0.916  0.580  0.305

Peak list (6 most intense, 10 to 90 degrees two-theta, sorted by position)
- 23.86°, d = 3.729 Å, rel. 48
- 32.66°, d = 2.741 Å, rel. 100
- 35.29°, d = 2.544 Å, rel. 65
- 48.84°, d = 1.865 Å, rel. 40
- 53.26°, d = 1.720 Å, rel. 59
- 63.33°, d = 1.469 Å, rel. 37

=====

The following is a computed powder diffraction line list of MoPO5. It was derived from a crystal structure in the Materials Project, relaxed with PBE+U, using λ = 1.5418 Å (Cu Kα).

Cell and atoms:
Lattice parameters (Å, degrees): 5.303 5.303 7.466 109.81 109.81 89.31
Sites, in units of the cell vectors:
Mo  0.237  0.763  0.500
Mo  0.763  0.237  0.000
P  0.160  0.408  0.783
P  0.408  0.160  0.283
O  0.117  0.127  0.614
O  0.127  0.117  0.114
O  0.133  0.635  0.695
O  0.434  0.936  0.374
O  0.442  0.447  0.950
O  0.447  0.442  0.450
O  0.605  0.958  0.778
O  0.635  0.133  0.195
O  0.936  0.434  0.874
O  0.958  0.605  0.278

Peak list (6 most intense, 10 to 90 degrees two-theta, sorted by position)
- 18.19°, d = 4.877 Å, rel. 75
- 23.88°, d = 3.727 Å, rel. 39
- 26.10°, d = 3.414 Å, rel. 100
- 27.67°, d = 3.224 Å, rel. 57
- 38.84°, d = 2.318 Å, rel. 22
- 56.64°, d = 1.625 Å, rel. 22

=====

The following is a computed powder diffraction line list of MoH4O5. It was derived from a crystal structure in the Materials Project, relaxed with PBE+U, using λ = 1.5418 Å (Cu Kα).

Cell and atoms:
Lattice parameters (Å, degrees): 4.135 6.780 7.566 90.70 90.45 106.72
Sites, in units of the cell vectors:
Mo  0.080  0.498  0.250
Mo  0.920  0.502  0.750
H  0.260  0.876  0.150
H  0.273  0.873  0.647
H  0.338  0.914  0.403
H  0.342  0.914  0.903
H  0.658  0.086  0.097
H  0.662  0.086  0.597
H  0.727  0.127  0.353
H  0.740  0.124  0.850
O  0.000  0.500  0.000
O  0.000  0.500  0.500
O  0.143  0.795  0.257
O  0.148  0.796  0.755
O  0.498  0.497  0.249
O  0.500  0.000  0.000
O  0.500  0.000  0.500
O  0.502  0.503  0.751
O  0.852  0.204  0.245
O  0.857  0.205  0.743

Peak list (6 most intense, 10 to 90 degrees two-theta, sorted by position)
- 13.64°, d = 6.492 Å, rel. 100
- 22.45°, d = 3.960 Å, rel. 24
- 22.69°, d = 3.920 Å, rel. 53
- 23.52°, d = 3.782 Å, rel. 38
- 27.10°, d = 3.290 Å, rel. 23
- 27.47°, d = 3.246 Å, rel. 50

=====

The following is a computed powder diffraction line list of SrMnO3. It was derived from a crystal structure in the Materials Project, relaxed with PBE+U, using λ = 1.5418 Å (Cu Kα).

Cell and atoms:
Lattice parameters (Å, degrees): 5.533 5.533 9.289 90.00 90.00 119.78
Sites, in units of the cell vectors:
Sr  0.161  0.839  0.750
Sr  0.480  0.480  0.000
Sr  0.520  0.520  0.500
Sr  0.839  0.161  0.250
Mn  0.149  0.814  0.112
Mn  0.186  0.851  0.388
Mn  0.814  0.149  0.888
Mn  0.851  0.186  0.612
O  0.054  0.054  0.500
O  0.054  0.552  0.521
O  0.135  0.318  0.767
O  0.318  0.135  0.233
O  0.320  0.680  0.250
O  0.448  0.946  0.979
O  0.552  0.054  0.479
O  0.680  0.320  0.750
O  0.682  0.865  0.733
O  0.865  0.682  0.267
O  0.946  0.448  0.021
O  0.946  0.946  0.000

Peak list (6 most intense, 10 to 90 degrees two-theta, sorted by position)
- 26.71°, d = 3.337 Å, rel. 82
- 32.25°, d = 2.776 Å, rel. 50
- 32.36°, d = 2.766 Å, rel. 100
- 34.48°, d = 2.601 Å, rel. 75
- 42.38°, d = 2.133 Å, rel. 44
- 47.94°, d = 1.897 Å, rel. 41

=====

The following is a computed powder diffraction line list of MgMn3VCr2P6O24. It was derived from a crystal structure in the Materials Project, relaxed with PBE+U, using λ = 1.5418 Å (Cu Kα).

Cell and atoms:
Lattice parameters (Å, degrees): 8.623 8.642 8.659 60.56 89.70 60.25
Sites, in units of the cell vectors:
Mg  0.000  0.000  0.000
Mn  0.120  0.762  0.365
Mn  0.596  0.808  0.802
Mn  0.872  0.252  0.635
V  0.390  0.211  0.193
Cr  0.254  0.489  0.771
Cr  0.742  0.517  0.231
P  0.199  0.301  0.498
P  0.299  0.704  0.994
P  0.497  0.713  0.503
P  0.696  0.002  0.002
P  0.787  0.002  0.501
P  0.999  0.300  0.006
O  0.059  0.076  0.173
O  0.132  0.920  0.828
O  0.158  0.343  0.981
O  0.193  0.447  0.562
O  0.252  0.697  0.168
O  0.265  0.341  0.325
O  0.321  0.523  0.976
O  0.325  0.070  0.665
O  0.361  0.638  0.570
O  0.391  0.948  0.339
O  0.497  0.180  0.983
O  0.498  0.668  0.011
O  0.604  0.672  0.675
O  0.632  0.572  0.435
O  0.655  0.061  0.338
O  0.676  0.822  0.022
O  0.721  0.937  0.675
O  0.747  0.117  0.832
O  0.791  0.206  0.437
O  0.846  0.471  0.036
O  0.861  0.888  0.171
O  0.940  0.308  0.834
O  0.990  0.375  0.431
O  0.996  0.804  0.566

Peak list (6 most intense, 10 to 90 degrees two-theta, sorted by position)
- 20.55°, d = 4.321 Å, rel. 100
- 23.81°, d = 3.737 Å, rel. 21
- 23.98°, d = 3.712 Å, rel. 38
- 24.20°, d = 3.678 Å, rel. 58
- 35.96°, d = 2.498 Å, rel. 29
- 36.09°, d = 2.489 Å, rel. 18